[1]
Sm7Pd3: calculated powder XRD pattern (λ = 1.5418 Å (Cu Kα)), based on the GGA-PBE geometry in Alexandria.
Peak positions follow from Bragg's law for the DFT cell and can differ from measured ones.

```
20
Lattice="10.088 0.000 0.000 -5.044 8.737 0.000 0.000 0.000 6.398" Properties=species:S:1:pos:R:3 pbc="T T T"
Sm -1.945 4.701 0.000
Sm 0.000 2.189 1.880
Sm -3.149 7.643 1.880
Sm 1.895 1.094 5.079
Sm 0.000 5.825 3.183
Sm 1.945 4.701 0.000
Sm 0.000 8.071 0.000
Sm 5.044 0.666 3.199
Sm 3.099 4.036 3.199
Sm 5.044 2.912 6.382
Sm 3.149 7.643 1.880
Sm 8.193 1.094 5.079
Sm 5.044 6.548 5.079
Sm 6.990 4.036 3.199
Pd 0.000 3.319 4.744
Pd -2.170 7.077 4.744
Pd 2.874 1.660 1.545
Pd 2.170 7.077 4.744
Pd 7.214 1.660 1.545
Pd 5.044 5.418 1.545
```

Most intense lines, 2θ from 10° to 90°, low angle first:
| 2θ (°) | d/Å | I_rel |
| --- | --- | --- |
| 29.7 | 3.004 | 47.5 |
| 30.5 | 2.934 | 100.0 |
| 30.7 | 2.912 | 18.7 |
| 33.8 | 2.651 | 62.9 |
| 34.8 | 2.581 | 54.0 |
| 35.6 | 2.522 | 44.2 |
| 47.5 | 1.915 | 21.2 |
| 53.2 | 1.721 | 26.2 |
| 54.0 | 1.699 | 23.5 |
| 54.4 | 1.686 | 23.6 |

[2]
SmPd2: calculated powder XRD pattern (λ = 1.5418 Å (Cu Kα)), based on the GGA-PBE geometry in Alexandria.
Peak positions follow from Bragg's law for the DFT cell and can differ from measured ones.

```
12
Lattice="3.984 0.000 0.000 0.000 13.773 0.000 0.000 0.000 4.367" Properties=species:S:1:pos:R:3 pbc="T T T"
Sm 0.000 1.418 1.092
Sm 0.000 12.355 3.275
Sm 1.992 5.469 3.275
Sm 1.992 8.304 1.092
Pd 0.000 3.359 3.275
Pd 0.000 5.777 1.092
Pd 0.000 7.996 3.275
Pd 0.000 10.414 1.092
Pd 1.992 1.109 3.275
Pd 1.992 3.527 1.092
Pd 1.992 10.246 3.275
Pd 1.992 12.664 1.092
```

Most intense lines, 2θ from 10° to 90°, low angle first:
| 2θ (°) | d/Å | I_rel |
| --- | --- | --- |
| 36.3 | 2.478 | 100.0 |
| 39.2 | 2.296 | 16.6 |
| 41.3 | 2.184 | 18.4 |
| 45.5 | 1.992 | 13.9 |
| 58.3 | 1.582 | 10.3 |
| 63.2 | 1.472 | 10.3 |
| 69.2 | 1.358 | 8.8 |
| 72.1 | 1.310 | 13.1 |
| 77.0 | 1.239 | 9.0 |
| 78.0 | 1.225 | 10.8 |

[3]
Sm3Sn2Pd: calculated powder XRD pattern (λ = 1.5418 Å (Cu Kα)), based on the GGA-PBE geometry in Alexandria.
Peak positions follow from Bragg's law for the DFT cell and can differ from measured ones.

```
24
Lattice="12.395 0.000 0.000 0.000 4.581 0.000 0.000 0.000 11.818" Properties=species:S:1:pos:R:3 pbc="T T T"
Sm 0.634 1.145 1.532
Sm 1.544 3.435 6.586
Sm 2.829 1.145 9.478
Sm 3.368 3.435 3.569
Sm 4.654 1.145 0.678
Sm 5.563 3.435 7.440
Sm 6.832 1.145 4.377
Sm 7.741 3.435 11.140
Sm 9.027 1.145 8.248
Sm 9.566 3.435 2.339
Sm 10.851 1.145 5.231
Sm 11.761 3.435 10.286
Sn 0.071 3.435 3.676
Sn 2.316 3.435 0.061
Sn 3.881 1.145 5.970
Sn 6.126 1.145 9.584
Sn 6.269 3.435 2.233
Sn 8.514 3.435 5.848
Sn 10.079 1.145 11.757
Sn 12.324 1.145 8.142
Pd 1.542 1.145 4.419
Pd 4.655 3.435 10.328
Pd 7.740 1.145 1.490
Pd 10.853 3.435 7.398
```

Most intense lines, 2θ from 10° to 90°, low angle first:
| 2θ (°) | d/Å | I_rel |
| --- | --- | --- |
| 28.6 | 3.126 | 60.3 |
| 29.9 | 2.987 | 90.4 |
| 31.1 | 2.874 | 31.3 |
| 32.6 | 2.744 | 36.7 |
| 32.9 | 2.723 | 100.0 |
| 35.8 | 2.508 | 68.6 |
| 36.9 | 2.434 | 29.9 |
| 37.1 | 2.424 | 31.7 |
| 39.1 | 2.305 | 41.9 |
| 39.3 | 2.290 | 78.1 |

[4]
SmSn3Pd5: calculated powder XRD pattern (λ = 1.5418 Å (Cu Kα)), based on the GGA-PBE geometry in Alexandria.
Peak positions follow from Bragg's law for the DFT cell and can differ from measured ones.

```
18
Lattice="1.973 -7.153 0.000 1.973 7.153 0.000 0.000 0.000 13.550" Properties=species:S:1:pos:R:3 pbc="T T T"
Sm 1.973 5.843 10.163
Sm 1.973 -5.843 3.388
Sn 1.973 5.107 3.388
Sn 1.973 1.743 0.654
Sn 1.973 1.743 6.122
Sn 1.973 -1.743 7.429
Sn 1.973 -1.743 12.897
Sn 1.973 -5.107 10.163
Pd 0.000 0.000 0.000
Pd 0.000 0.000 6.775
Pd 1.973 4.344 0.864
Pd 1.973 4.344 5.911
Pd 1.973 0.689 8.771
Pd 1.973 0.689 11.554
Pd 1.973 -0.689 1.996
Pd 1.973 -0.689 4.779
Pd 1.973 -4.344 7.639
Pd 1.973 -4.344 12.687
```

Most intense lines, 2θ from 10° to 90°, low angle first:
| 2θ (°) | d/Å | I_rel |
| --- | --- | --- |
| 12.4 | 7.153 | 36.4 |
| 30.7 | 2.910 | 53.1 |
| 32.3 | 2.774 | 45.1 |
| 35.5 | 2.531 | 92.6 |
| 39.5 | 2.283 | 48.9 |
| 40.9 | 2.207 | 55.4 |
| 41.2 | 2.192 | 100.0 |
| 41.8 | 2.160 | 46.2 |
| 46.0 | 1.973 | 58.9 |
| 63.9 | 1.456 | 34.3 |

[5]
SmSn3Pd: calculated powder XRD pattern (λ = 1.5418 Å (Cu Kα)), based on the GGA-PBE geometry in Alexandria.
Peak positions follow from Bragg's law for the DFT cell and can differ from measured ones.

```
10
Lattice="2.299 -12.380 0.000 2.299 12.380 0.000 0.000 0.000 4.489" Properties=species:S:1:pos:R:3 pbc="T T T"
Sm 2.299 8.230 0.000
Sm 2.299 -8.230 0.000
Sn 2.299 10.933 2.245
Sn 2.299 5.393 2.245
Sn 2.299 1.432 0.000
Sn 2.299 -1.432 0.000
Sn 2.299 -5.393 2.245
Sn 2.299 -10.933 2.245
Pd 2.299 2.833 2.245
Pd 2.299 -2.833 2.245
```

Most intense lines, 2θ from 10° to 90°, low angle first:
| 2θ (°) | d/Å | I_rel |
| --- | --- | --- |
| 29.4 | 3.038 | 19.1 |
| 29.8 | 2.993 | 100.0 |
| 37.8 | 2.378 | 12.1 |
| 38.1 | 2.361 | 23.8 |
| 39.2 | 2.299 | 30.9 |
| 40.2 | 2.245 | 28.8 |
| 43.3 | 2.089 | 24.1 |
| 56.6 | 1.627 | 15.2 |
| 57.4 | 1.606 | 20.6 |
| 65.3 | 1.428 | 10.9 |

[6]
SmSn2Pd3: calculated powder XRD pattern (λ = 1.5418 Å (Cu Kα)), based on the GGA-PBE geometry in Alexandria.
Peak positions follow from Bragg's law for the DFT cell and can differ from measured ones.

```
18
Lattice="8.933 -2.161 0.000 8.933 2.161 0.000 -3.357 0.000 9.747" Properties=species:S:1:pos:R:3 pbc="T T T"
Sm 0.000 0.000 0.000
Sm 0.430 0.000 6.867
Sm 14.080 0.000 2.880
Sn 3.044 0.000 1.265
Sn 4.643 0.000 5.295
Sn 7.502 0.000 2.082
Sn 7.008 0.000 7.665
Sn 9.866 0.000 4.452
Sn 11.466 0.000 8.482
Pd -0.396 0.000 3.276
Pd 2.473 0.000 3.846
Pd 5.520 0.000 0.321
Pd 4.180 0.000 7.940
Pd 7.255 0.000 4.873
Pd 10.329 0.000 1.807
Pd 8.990 0.000 9.425
Pd 12.037 0.000 5.900
Pd 14.906 0.000 6.471
```

Most intense lines, 2θ from 10° to 90°, low angle first:
| 2θ (°) | d/Å | I_rel |
| --- | --- | --- |
| 28.7 | 3.109 | 23.6 |
| 31.8 | 2.815 | 20.8 |
| 32.5 | 2.752 | 47.0 |
| 33.5 | 2.673 | 100.0 |
| 34.0 | 2.638 | 20.2 |
| 34.9 | 2.574 | 26.1 |
| 37.2 | 2.415 | 26.7 |
| 41.2 | 2.192 | 42.7 |
| 41.8 | 2.161 | 85.2 |
| 41.9 | 2.154 | 22.0 |

[7]
SmSn4Pd: calculated powder XRD pattern (λ = 1.5418 Å (Cu Kα)), based on the GGA-PBE geometry in Alexandria.
Peak positions follow from Bragg's law for the DFT cell and can differ from measured ones.

```
12
Lattice="2.246 -14.757 0.000 2.246 14.757 0.000 0.000 0.000 4.592" Properties=species:S:1:pos:R:3 pbc="T T T"
Sm 2.246 9.007 0.000
Sm 2.246 -9.007 0.000
Sn 0.000 0.000 2.296
Sn 2.246 11.400 2.296
Sn 2.246 6.362 2.296
Sn 2.246 3.313 0.000
Sn 2.246 0.000 0.000
Sn 2.246 -3.313 0.000
Sn 2.246 -6.362 2.296
Sn 2.246 -11.400 2.296
Pd 2.246 1.647 2.296
Pd 2.246 -1.647 2.296
```

Most intense lines, 2θ from 10° to 90°, low angle first:
| 2θ (°) | d/Å | I_rel |
| --- | --- | --- |
| 29.3 | 3.053 | 13.5 |
| 30.3 | 2.951 | 24.3 |
| 31.7 | 2.821 | 62.6 |
| 35.1 | 2.555 | 100.0 |
| 39.3 | 2.295 | 82.6 |
| 40.1 | 2.246 | 40.6 |
| 50.4 | 1.812 | 12.3 |
| 57.4 | 1.606 | 29.0 |
| 68.5 | 1.370 | 14.8 |
| 69.7 | 1.349 | 14.0 |

[8]
Sm3Sn4Pd8: calculated powder XRD pattern (λ = 1.5418 Å (Cu Kα)), based on the GGA-PBE geometry in Alexandria.
Peak positions follow from Bragg's law for the DFT cell and can differ from measured ones.

```
30
Lattice="0.000 6.687 6.687 6.687 0.000 6.687 6.687 6.687 0.000" Properties=species:S:1:pos:R:3 pbc="T T T"
Sm 6.687 6.687 3.072
Sm 6.687 3.072 6.687
Sm 10.303 6.687 6.687
Sm 3.072 6.687 6.687
Sm 6.687 10.303 6.687
Sm 6.687 6.687 10.303
Sn 0.000 0.000 0.000
Sn 3.344 3.344 0.000
Sn 3.344 0.000 3.344
Sn 6.687 3.344 3.344
Sn 0.000 3.344 3.344
Sn 3.344 6.687 3.344
Sn 3.344 3.344 6.687
Sn 6.687 6.687 6.687
Pd 8.313 5.062 5.062
Pd 2.226 2.226 2.226
Pd 4.461 4.461 2.226
Pd 4.461 2.226 4.461
Pd 5.062 5.062 5.062
Pd 8.313 8.313 5.062
Pd 8.313 5.062 8.313
Pd 11.149 8.914 8.914
Pd 2.226 4.461 4.461
Pd 5.062 8.313 5.062
Pd 5.062 5.062 8.313
Pd 8.313 8.313 8.313
Pd 8.914 11.149 8.914
Pd 8.914 8.914 11.149
Pd 11.149 11.149 11.149
Pd 5.062 8.313 8.313
```

Most intense lines, 2θ from 10° to 90°, low angle first:
| 2θ (°) | d/Å | I_rel |
| --- | --- | --- |
| 29.9 | 2.991 | 9.4 |
| 34.9 | 2.574 | 25.0 |
| 38.1 | 2.364 | 100.0 |
| 39.9 | 2.261 | 7.9 |
| 40.5 | 2.229 | 7.1 |
| 42.8 | 2.115 | 7.1 |
| 54.9 | 1.672 | 9.8 |
| 66.7 | 1.402 | 8.6 |
| 68.8 | 1.365 | 24.6 |
| 81.4 | 1.182 | 9.5 |

[9]
SmSn2Pd: calculated powder XRD pattern (λ = 1.5418 Å (Cu Kα)), based on the GGA-PBE geometry in Alexandria.
Peak positions follow from Bragg's law for the DFT cell and can differ from measured ones.

```
8
Lattice="4.492 0.000 0.000 0.000 4.492 0.000 0.000 0.000 9.544" Properties=species:S:1:pos:R:3 pbc="T T T"
Sm 1.123 1.123 2.217
Sm 3.369 3.369 7.327
Sn 1.123 1.123 7.899
Sn 1.123 3.369 4.772
Sn 3.369 1.123 4.772
Sn 3.369 3.369 1.646
Pd 1.123 3.369 0.000
Pd 3.369 1.123 0.000
```

Most intense lines, 2θ from 10° to 90°, low angle first:
| 2θ (°) | d/Å | I_rel |
| --- | --- | --- |
| 28.1 | 3.181 | 7.5 |
| 33.9 | 2.644 | 100.0 |
| 34.5 | 2.596 | 7.9 |
| 37.7 | 2.386 | 9.7 |
| 40.1 | 2.246 | 48.0 |
| 52.1 | 1.757 | 7.3 |
| 56.2 | 1.636 | 15.9 |
| 58.1 | 1.588 | 15.2 |
| 69.0 | 1.362 | 25.9 |
| 86.7 | 1.123 | 6.8 |

[10]
SmSnPd: calculated powder XRD pattern (λ = 1.5418 Å (Cu Kα)), based on the GGA-PBE geometry in Alexandria.
Peak positions follow from Bragg's law for the DFT cell and can differ from measured ones.

```
18
Lattice="-2.349 11.103 4.017 2.349 -11.103 4.017 2.349 11.103 -4.017" Properties=species:S:1:pos:R:3 pbc="T T T"
Sm 0.000 0.000 0.000
Sm 0.000 3.651 0.682
Sm 0.000 7.330 0.030
Sm 0.000 11.103 0.662
Sm 0.000 14.875 0.030
Sm 0.000 18.554 0.682
Sn 2.349 5.160 -0.943
Sn 2.349 -1.499 1.643
Sn 2.349 1.499 1.643
Sn 2.349 8.911 1.645
Sn 0.000 5.942 3.073
Sn 0.000 2.191 5.662
Pd 2.349 9.479 -1.015
Pd 0.000 1.624 3.001
Pd 2.349 5.921 1.695
Pd 0.000 8.826 3.019
Pd 0.000 5.181 5.711
Pd 0.000 13.380 3.019
```

Most intense lines, 2θ from 10° to 90°, low angle first:
| 2θ (°) | d/Å | I_rel |
| --- | --- | --- |
| 31.7 | 2.822 | 33.1 |
| 32.8 | 2.734 | 100.0 |
| 32.9 | 2.722 | 41.2 |
| 38.2 | 2.359 | 20.6 |
| 38.3 | 2.349 | 40.6 |
| 38.7 | 2.326 | 62.2 |
| 51.4 | 1.778 | 23.5 |
| 55.2 | 1.664 | 14.2 |
| 62.9 | 1.478 | 20.0 |
| 70.7 | 1.332 | 13.5 |

[11]
SrSmPd10: calculated powder XRD pattern (λ = 1.5418 Å (Cu Kα)), based on the GGA-PBE geometry in Alexandria.
Peak positions follow from Bragg's law for the DFT cell and can differ from measured ones.

```
12
Lattice="4.484 0.000 0.000 0.000 5.387 0.000 0.000 0.000 9.347" Properties=species:S:1:pos:R:3 pbc="T T T"
Sr 0.000 0.000 0.000
Sm 0.000 2.694 4.673
Pd 0.000 0.000 3.175
Pd 0.000 0.000 6.172
Pd 0.000 2.694 1.637
Pd 0.000 2.694 7.710
Pd 2.242 0.000 4.673
Pd 2.242 1.357 2.379
Pd 2.242 1.357 6.968
Pd 2.242 2.694 0.000
Pd 2.242 4.030 2.379
Pd 2.242 4.030 6.968
```

Most intense lines, 2θ from 10° to 90°, low angle first:
| 2θ (°) | d/Å | I_rel |
| --- | --- | --- |
| 19.0 | 4.670 | 16.0 |
| 27.6 | 3.234 | 18.3 |
| 33.2 | 2.696 | 20.2 |
| 38.6 | 2.335 | 29.7 |
| 39.0 | 2.310 | 100.0 |
| 40.2 | 2.242 | 34.6 |
| 43.7 | 2.071 | 35.9 |
| 56.9 | 1.617 | 18.8 |
| 63.2 | 1.470 | 23.1 |
| 69.8 | 1.348 | 19.1 |

[12]
Sr2SmPd9: calculated powder XRD pattern (λ = 1.5418 Å (Cu Kα)), based on the GGA-PBE geometry in Alexandria.
Peak positions follow from Bragg's law for the DFT cell and can differ from measured ones.

```
24
Lattice="5.448 0.000 0.000 -2.724 4.718 0.000 0.000 0.000 18.276" Properties=species:S:1:pos:R:3 pbc="T T T"
Sr 0.000 3.145 0.730
Sr 0.000 3.145 8.408
Sr 2.724 1.573 9.867
Sr 2.724 1.573 17.546
Sm 0.000 3.145 4.569
Sm 2.724 1.573 13.707
Pd 0.000 0.000 0.000
Pd 0.000 0.000 4.569
Pd 0.000 0.000 9.138
Pd 0.000 0.000 13.707
Pd 0.000 1.578 11.443
Pd 0.000 1.578 15.970
Pd -1.357 3.929 11.443
Pd -1.357 3.929 15.970
Pd 0.000 3.145 13.707
Pd 1.367 0.789 2.305
Pd 1.367 0.789 6.833
Pd 1.357 3.929 11.443
Pd 1.357 3.929 15.970
Pd 2.724 1.573 4.569
Pd 4.081 0.789 2.305
Pd 4.081 0.789 6.833
Pd 2.724 3.139 2.305
Pd 2.724 3.139 6.833
```

Most intense lines, 2θ from 10° to 90°, low angle first:
| 2θ (°) | d/Å | I_rel |
| --- | --- | --- |
| 30.9 | 2.889 | 21.9 |
| 32.9 | 2.724 | 17.3 |
| 38.5 | 2.340 | 100.0 |
| 39.4 | 2.284 | 27.1 |
| 41.0 | 2.200 | 20.7 |
| 43.2 | 2.096 | 11.3 |
| 60.1 | 1.539 | 11.6 |
| 62.5 | 1.487 | 17.3 |
| 69.0 | 1.362 | 17.5 |
| 82.5 | 1.170 | 15.3 |

Please write out number 5 again, unchanged.
SmSn3Pd: calculated powder XRD pattern (λ = 1.5418 Å (Cu Kα)), based on the GGA-PBE geometry in Alexandria.
Peak positions follow from Bragg's law for the DFT cell and can differ from measured ones.

```
10
Lattice="2.299 -12.380 0.000 2.299 12.380 0.000 0.000 0.000 4.489" Properties=species:S:1:pos:R:3 pbc="T T T"
Sm 2.299 8.230 0.000
Sm 2.299 -8.230 0.000
Sn 2.299 10.933 2.245
Sn 2.299 5.393 2.245
Sn 2.299 1.432 0.000
Sn 2.299 -1.432 0.000
Sn 2.299 -5.393 2.245
Sn 2.299 -10.933 2.245
Pd 2.299 2.833 2.245
Pd 2.299 -2.833 2.245
```

Most intense lines, 2θ from 10° to 90°, low angle first:
| 2θ (°) | d/Å | I_rel |
| --- | --- | --- |
| 29.4 | 3.038 | 19.1 |
| 29.8 | 2.993 | 100.0 |
| 37.8 | 2.378 | 12.1 |
| 38.1 | 2.361 | 23.8 |
| 39.2 | 2.299 | 30.9 |
| 40.2 | 2.245 | 28.8 |
| 43.3 | 2.089 | 24.1 |
| 56.6 | 1.627 | 15.2 |
| 57.4 | 1.606 | 20.6 |
| 65.3 | 1.428 | 10.9 |